Li2MnO2F: calculated XRD peak list (Cu Ka), based on a structure optimized by DFT (GGA+U).
Peak positions follow from Bragg's law for the DFT cell and can differ from measured ones.

Main lines, by angle (2θ = 10–80°):
index, two_theta, d/Å, I_rel
0 2 0, 20.39, 4.355, 758
0 1 1, 21.83, 4.072, 1000
2 1 0, 33.12, 2.705, 342
0 0 2, 39.11, 2.303, 544
2 2 1, 42.73, 2.116, 203
2 3 0, 44.57, 2.033, 873
2 1 2, 52.16, 1.754, 174
2 4 1, 56.87, 1.619, 158
2 3 2, 60.78, 1.524, 468
4 0 2, 79.12, 1.210, 95

Structure:
```
data_Li2MnO2F
_chemical_formula_sum 'Li8 Mn4 O8 F4'
_symmetry_space_group_name_H-M 'P n m a'
_symmetry_Int_Tables_number 62
_cell_length_a 5.6908
_cell_length_b 8.7104
_cell_length_c 4.6066
_cell_angle_alpha 90.00
_cell_angle_beta 90.00
_cell_angle_gamma 90.00
loop_
_symmetry_equiv_pos_as_xyz
'x,y,z'
'-x,-y,-z'
'-x+1/2,-y,z+1/2'
'x+1/2,y,-z+1/2'
'x+1/2,-y+1/2,-z+1/2'
'-x+1/2,y+1/2,z+1/2'
'-x,y+1/2,-z'
'x,-y+1/2,z'
loop_
_atom_site_label
_atom_site_fract_x
_atom_site_fract_y
_atom_site_fract_z
_atom_site_occupancy
Li1 0.1258 0.0730 0.2396 1
Mn1 0.1242 0.7500 0.2509 1
O1 0.1262 0.0978 0.7550 1
F1 0.1237 0.7500 0.7502 1
```

Li8MnO4F2: calculated XRD peak list (Cu Ka), based on a structure optimized by DFT (GGA+U).
Peak positions follow from Bragg's law for the DFT cell and can differ from measured ones.

Main lines, by angle (2θ = 10–80°):
index, two_theta, d/Å, I_rel
0 0 1, 16.68, 5.314, 274
1 0 0, 19.16, 4.632, 593
1 1 1, 19.51, 4.550, 387
1 1 0, 21.40, 4.152, 275
0 1 1, 21.56, 4.121, 344
1 2 0, 36.24, 2.479, 1000
2 1 2, 37.06, 2.426, 416
1 2 -1, 46.95, 1.935, 337
2 1 3, 48.15, 1.890, 222
3 3 2, 57.81, 1.595, 195

Structure:
```
data_Li8MnO4F2
_chemical_formula_sum 'Li8 Mn1 O4 F2'
_symmetry_space_group_name_H-M 'P -1'
_symmetry_Int_Tables_number 2
_cell_length_a 5.5340
_cell_length_b 5.5489
_cell_length_c 6.1273
_cell_angle_alpha 64.23
_cell_angle_beta 64.82
_cell_angle_gamma 60.48
loop_
_symmetry_equiv_pos_as_xyz
'x,y,z'
'-x,-y,-z'
loop_
_atom_site_label
_atom_site_fract_x
_atom_site_fract_y
_atom_site_fract_z
_atom_site_occupancy
Li1 0.0084 0.4015 0.3636 1
Li2 0.0820 0.1937 0.0166 1
Li3 0.2618 0.9711 0.6487 1
Li4 0.3876 0.7106 0.3575 1
Mn1 0.5000 0.5000 0.0000 1
O1 0.0948 0.7446 0.2414 1
O2 0.2626 0.5892 0.7539 1
F1 0.3954 0.0814 0.2833 1
```